Computed powder diffractogram
Compound: ScSn3
Radiation: Cu Kα (weighted mean of Kα1 and Kα2)
Structure: the GGA-PBE geometry in the Materials Project
Neutral-atom scattering factors, no anomalous dispersion.

Principal peaks in the range 2θ = 15–90°, by intensity:
2theta	Rel. int.
36.19	100
31.13	33
58.73	25
67.34	23
32.53	22
45.64	17
58.04	17
70.34	15

Crystal structure
```
8
Lattice="6.3562 0.0000 0.0000 -3.1781 5.5047 0.0000 0.0000 0.0000 5.7465" Properties=species:S:1:pos:R:3 pbc="T T T"
Sc 0.0000 3.6698 1.4366
Sc 3.1781 1.8349 4.3098
Sn 0.0000 1.8486 4.3098
Sn -1.5772 4.5804 4.3098
Sn 1.6009 0.9243 1.4366
Sn 1.5772 4.5804 4.3098
Sn 4.7553 0.9243 1.4366
Sn 3.1781 3.6561 1.4366
```



Computed powder diffractogram
Compound: CeNiGe2
Radiation: Cu Kα (weighted mean of Kα1 and Kα2)
Structure: the GGA-PBE geometry in the Materials Project
Neutral-atom scattering factors, no anomalous dispersion.

Principal peaks in the range 2θ = 15–90°, by intensity:
2theta	Rel. int.
34.10	100
42.81	60
34.34	38
38.89	31
72.83	22
30.40	20
62.15	19
55.98	18

Crystal structure
```
8
Lattice="2.1117 -8.3056 0.0000 2.1117 8.3056 0.0000 0.0000 0.0000 4.2261" Properties=species:S:1:pos:R:3 pbc="T T T"
Ce 2.1117 6.5079 3.1695
Ce 2.1117 -6.5079 1.0565
Ni 2.1117 3.0124 3.1695
Ni 2.1117 -3.0124 1.0565
Ge 2.1117 4.1568 1.0565
Ge 2.1117 0.6957 3.1695
Ge 2.1117 -0.6957 1.0565
Ge 2.1117 -4.1568 3.1695
```